[1]
Structure and calculated powder diffraction line list of SrCuSnAs (a PBE-relaxed structure; Cu Ka).
No peak broadening, texture or thermal motion is included.

Main lines, by angle (2θ from 10° to 90°):
| d_spacing | 2theta | Rel. int. |
| --- | --- | --- |
| 5.536 | 16.01 | 25 |
| 2.892 | 30.92 | 25 |
| 2.783 | 32.16 | 30 |
| 2.635 | 34.02 | 100 |
| 2.119 | 42.67 | 46 |
| 2.033 | 44.56 | 24 |

Atomic structure:
```
data_SrCuSnAs
_symmetry_space_group_name_H-M 'P 4/n m m'
_symmetry_Int_Tables_number 129
_cell_length_a 4.238
_cell_length_b 4.238
_cell_length_c 11.072
_cell_angle_alpha 90.00
_cell_angle_beta 90.00
_cell_angle_gamma 90.00
loop_
_symmetry_equiv_pos_as_xyz
'x,y,z'
'-x,-y,-z'
'-y+1/2,x,z'
'y+1/2,-x,-z'
'-x+1/2,-y+1/2,z'
'x+1/2,y+1/2,-z'
'y,-x+1/2,z'
'-y,x+1/2,-z'
'x+1/2,-y,-z'
'-x+1/2,y,z'
'-y,-x,-z'
'y,x,z'
'-x,y+1/2,-z'
'x,-y+1/2,z'
'y+1/2,x+1/2,-z'
'-y+1/2,-x+1/2,z'
loop_
_atom_site_label
_atom_site_fract_x
_atom_site_fract_y
_atom_site_fract_z
Sr1 0.250 0.250 0.228
Cu1 0.250 0.750 0.000
Sn1 0.250 0.750 0.500
As1 0.250 0.250 0.879
```

[2]
Structure and calculated powder diffraction line list of La4Tb7In (a PBE-relaxed structure; Cu Ka).
No peak broadening, texture or thermal motion is included.

Main lines, by angle (2θ from 10° to 90°):
| d_spacing | 2theta | Rel. int. |
| --- | --- | --- |
| 3.237 | 27.55 | 28 |
| 2.978 | 30.01 | 100 |
| 2.922 | 30.60 | 30 |
| 2.877 | 31.08 | 36 |
| 2.838 | 31.53 | 63 |
| 1.489 | 62.35 | 20 |

Atomic structure:
```
data_La4Tb7In
_symmetry_space_group_name_H-M 'C 1 2/m 1'
_symmetry_Int_Tables_number 12
_cell_length_a 16.822
_cell_length_b 5.955
_cell_length_c 10.065
_cell_angle_alpha 90.00
_cell_angle_beta 125.10
_cell_angle_gamma 90.00
loop_
_symmetry_equiv_pos_as_xyz
'x,y,z'
'-x,-y,-z'
'-x,y,-z'
'x,-y,z'
'x+1/2,y+1/2,z'
'-x+1/2,-y+1/2,-z'
'-x+1/2,y+1/2,-z'
'x+1/2,-y+1/2,z'
loop_
_atom_site_label
_atom_site_fract_x
_atom_site_fract_y
_atom_site_fract_z
La1 0.073 0.000 0.437
La2 0.221 0.500 0.692
Tb1 0.000 0.000 0.000
Tb2 0.050 0.500 0.749
Tb3 0.184 0.500 0.337
Tb4 0.202 0.000 0.879
In1 0.000 0.500 0.000
```

[3]
Structure and calculated powder diffraction line list of Cd3InCu (a PBE-relaxed structure; Cu Ka).
No peak broadening, texture or thermal motion is included.

Main lines, by angle (2θ from 10° to 90°):
| d_spacing | 2theta | Rel. int. |
| --- | --- | --- |
| 2.860 | 31.27 | 52 |
| 2.697 | 33.21 | 69 |
| 2.670 | 33.57 | 100 |
| 2.519 | 35.64 | 75 |
| 2.508 | 35.80 | 86 |
| 2.149 | 42.05 | 71 |

Atomic structure:
```
data_Cd3InCu
_symmetry_space_group_name_H-M 'C 1 2/m 1'
_symmetry_Int_Tables_number 12
_cell_length_a 10.678
_cell_length_b 8.082
_cell_length_c 7.113
_cell_angle_alpha 90.00
_cell_angle_beta 130.68
_cell_angle_gamma 90.00
loop_
_symmetry_equiv_pos_as_xyz
'x,y,z'
'-x,-y,-z'
'-x,y,-z'
'x,-y,z'
'x+1/2,y+1/2,z'
'-x+1/2,-y+1/2,-z'
'-x+1/2,y+1/2,-z'
'x+1/2,-y+1/2,z'
loop_
_atom_site_label
_atom_site_fract_x
_atom_site_fract_y
_atom_site_fract_z
Cd1 0.065 0.000 0.260
Cd2 0.209 0.184 0.755
In1 0.071 0.500 0.346
Cu1 0.244 0.500 0.872
```

[4]
Structure and calculated powder diffraction line list of Nd7Dy2Y3 (a PBE-relaxed structure; Cu Ka).
No peak broadening, texture or thermal motion is included.

Main lines, by angle (2θ from 10° to 90°):
| d_spacing | 2theta | Rel. int. |
| --- | --- | --- |
| 3.176 | 28.10 | 33 |
| 2.944 | 30.36 | 70 |
| 2.918 | 30.63 | 100 |
| 2.874 | 31.12 | 54 |
| 2.723 | 32.89 | 39 |
| 2.639 | 33.97 | 43 |

Atomic structure:
```
data_Nd7Dy2Y3
_symmetry_space_group_name_H-M 'P 1 2/m 1'
_symmetry_Int_Tables_number 10
_cell_length_a 5.907
_cell_length_b 3.644
_cell_length_c 19.097
_cell_angle_alpha 90.00
_cell_angle_beta 93.72
_cell_angle_gamma 90.00
loop_
_symmetry_equiv_pos_as_xyz
'x,y,z'
'-x,-y,-z'
'-x,y,-z'
'x,-y,z'
loop_
_atom_site_label
_atom_site_fract_x
_atom_site_fract_y
_atom_site_fract_z
Nd1 0.000 0.000 0.000
Nd2 0.179 0.500 0.183
Nd3 0.258 0.500 0.535
Nd4 0.323 0.000 0.854
Dy1 0.292 0.500 0.702
Y1 0.219 0.000 0.367
Y2 0.500 0.500 0.000
```

[5]
Structure and calculated powder diffraction line list of P2AuO2 (a PBE-relaxed structure; Cu Ka).
No peak broadening, texture or thermal motion is included.

Main lines, by angle (2θ from 10° to 90°):
| d_spacing | 2theta | Rel. int. |
| --- | --- | --- |
| 5.130 | 17.29 | 66 |
| 3.469 | 25.68 | 36 |
| 2.874 | 31.12 | 100 |
| 2.565 | 34.98 | 40 |
| 2.453 | 36.63 | 42 |
| 2.213 | 40.77 | 66 |

Atomic structure:
```
data_P2AuO2
_symmetry_space_group_name_H-M 'P 4/m m m'
_symmetry_Int_Tables_number 123
_symmetry_space_group_name_Hall '-P 4 2'
_cell_length_a 3.469
_cell_length_b 3.469
_cell_length_c 5.130
_cell_angle_alpha 90.00
_cell_angle_beta 90.00
_cell_angle_gamma 90.00
loop_
_atom_site_label
_atom_site_fract_x
_atom_site_fract_y
_atom_site_fract_z
P1 0.000 0.000 0.000
P2 0.000 0.000 0.500
Au1 0.500 0.500 0.000
O1 0.000 0.500 0.500
```

[6]
Structure and calculated powder diffraction line list of TbPm3N4 (a PBE-relaxed structure; Cu Ka).
No peak broadening, texture or thermal motion is included.

Main lines, by angle (2θ from 10° to 90°):
| d_spacing | 2theta | Rel. int. |
| --- | --- | --- |
| 2.929 | 30.52 | 100 |
| 2.537 | 35.39 | 74 |
| 1.794 | 50.91 | 51 |
| 1.530 | 60.53 | 45 |
| 1.164 | 82.97 | 19 |
| 1.134 | 85.63 | 23 |

Atomic structure:
```
data_TbPm3N4
_symmetry_space_group_name_H-M 'P m -3 m'
_symmetry_Int_Tables_number 221
_symmetry_space_group_name_Hall '-P 4 2 3'
_cell_length_a 5.073
_cell_length_b 5.073
_cell_length_c 5.073
_cell_angle_alpha 90.00
_cell_angle_beta 90.00
_cell_angle_gamma 90.00
loop_
_atom_site_label
_atom_site_fract_x
_atom_site_fract_y
_atom_site_fract_z
Tb1 0.000 0.000 0.000
Pm1 0.000 0.500 0.500
N1 0.000 0.000 0.500
N2 0.500 0.500 0.500
```

[7]
Structure and calculated powder diffraction line list of RbSmSe2O8 (a PBE-relaxed structure; Cu Ka).
No peak broadening, texture or thermal motion is included.

Main lines, by angle (2θ from 10° to 90°):
| d_spacing | 2theta | Rel. int. |
| --- | --- | --- |
| 3.607 | 24.68 | 58 |
| 3.307 | 26.97 | 100 |
| 3.246 | 27.48 | 26 |
| 3.212 | 27.78 | 76 |
| 2.012 | 45.07 | 30 |
| 1.910 | 47.62 | 24 |

Atomic structure:
```
data_RbSmSe2O8
_symmetry_space_group_name_H-M 'P 1 21/c 1'
_symmetry_Int_Tables_number 14
_cell_length_a 9.357
_cell_length_b 7.440
_cell_length_c 11.152
_cell_angle_alpha 90.00
_cell_angle_beta 90.76
_cell_angle_gamma 90.00
loop_
_symmetry_equiv_pos_as_xyz
'x,y,z'
'-x,-y,-z'
'-x,y+1/2,-z+1/2'
'x,-y+1/2,z+1/2'
loop_
_atom_site_label
_atom_site_fract_x
_atom_site_fract_y
_atom_site_fract_z
Rb1 0.064 0.148 0.342
Sm1 0.449 0.666 0.652
Se1 0.237 0.662 0.414
Se2 0.326 0.166 0.610
O1 0.103 0.536 0.369
O2 0.150 0.158 0.604
O3 0.217 0.740 0.049
O4 0.275 0.680 0.812
O5 0.379 0.158 0.197
O6 0.385 0.539 0.450
O7 0.394 0.164 0.473
O8 0.404 0.501 0.192
```

[8]
Structure and calculated powder diffraction line list of LaH3Pt (a PBE-relaxed structure; Cu Ka).
No peak broadening, texture or thermal motion is included.

Main lines, by angle (2θ from 10° to 90°):
| d_spacing | 2theta | Rel. int. |
| --- | --- | --- |
| 3.123 | 28.58 | 59 |
| 2.769 | 32.33 | 64 |
| 2.758 | 32.47 | 100 |
| 2.698 | 33.20 | 74 |
| 2.582 | 34.75 | 61 |
| 2.172 | 41.57 | 56 |

Atomic structure:
```
data_LaH3Pt
_symmetry_space_group_name_H-M 'P 1 21/c 1'
_symmetry_Int_Tables_number 14
_cell_length_a 6.456
_cell_length_b 5.991
_cell_length_c 7.810
_cell_angle_alpha 90.00
_cell_angle_beta 126.90
_cell_angle_gamma 90.00
loop_
_symmetry_equiv_pos_as_xyz
'x,y,z'
'-x,-y,-z'
'-x,y+1/2,-z+1/2'
'x,-y+1/2,z+1/2'
loop_
_atom_site_label
_atom_site_fract_x
_atom_site_fract_y
_atom_site_fract_z
La1 0.243 0.185 0.067
H1 0.044 0.013 0.288
H2 0.250 0.732 0.152
H3 0.479 0.134 0.915
Pt1 0.286 0.668 0.942
```

[9]
Structure and calculated powder diffraction line list of Dy8Y6Pb (a PBE-relaxed structure; Cu Ka).
No peak broadening, texture or thermal motion is included.

Main lines, by angle (2θ from 10° to 90°):
| d_spacing | 2theta | Rel. int. |
| --- | --- | --- |
| 3.792 | 23.46 | 26 |
| 3.421 | 26.04 | 41 |
| 2.741 | 32.67 | 54 |
| 2.720 | 32.93 | 100 |
| 2.645 | 33.90 | 93 |
| 1.758 | 52.03 | 20 |

Atomic structure:
```
data_Dy8Y6Pb
_symmetry_space_group_name_H-M 'P -3'
_symmetry_Int_Tables_number 147
_cell_length_a 9.1612
_cell_length_b 9.1612
_cell_length_c 6.7596
_cell_angle_alpha 90.00
_cell_angle_beta 90.00
_cell_angle_gamma 120.00
loop_
_symmetry_equiv_pos_as_xyz
'x,y,z'
'-x,-y,-z'
'-y,x-y,z'
'y,-x+y,-z'
'-x+y,-x,z'
'x-y,x,-z'
loop_
_atom_site_label
_atom_site_fract_x
_atom_site_fract_y
_atom_site_fract_z
Dy1 0.0106 0.3227 0.1135
Dy2 0.3333 0.6667 0.8196
Y1 0.0809 0.6815 0.3923
Pb1 0.0000 0.0000 0.5000
```

[10]
Structure and calculated powder diffraction line list of Er7MgHg4 (a PBE-relaxed structure; Cu Ka).
No peak broadening, texture or thermal motion is included.

Main lines, by angle (2θ from 10° to 90°):
| d_spacing | 2theta | Rel. int. |
| --- | --- | --- |
| 2.895 | 30.89 | 46 |
| 2.835 | 31.56 | 100 |
| 2.697 | 33.22 | 41 |
| 2.606 | 34.42 | 39 |
| 2.518 | 35.66 | 81 |
| 2.372 | 37.93 | 34 |

Atomic structure:
```
data_Er7MgHg4
_symmetry_space_group_name_H-M 'C 1 2/m 1'
_symmetry_Int_Tables_number 12
_cell_length_a 14.473
_cell_length_b 5.669
_cell_length_c 9.349
_cell_angle_alpha 90.00
_cell_angle_beta 121.40
_cell_angle_gamma 90.00
loop_
_symmetry_equiv_pos_as_xyz
'x,y,z'
'-x,-y,-z'
'-x,y,-z'
'x,-y,z'
'x+1/2,y+1/2,z'
'-x+1/2,-y+1/2,-z'
'-x+1/2,y+1/2,-z'
'x+1/2,-y+1/2,z'
loop_
_atom_site_label
_atom_site_fract_x
_atom_site_fract_y
_atom_site_fract_z
Er1 0.000 0.000 0.000
Er2 0.071 0.500 0.409
Er3 0.195 0.500 0.881
Er4 0.237 0.000 0.693
Mg1 0.000 0.500 0.000
Hg1 0.041 0.000 0.707
Hg2 0.190 0.000 0.338
```

[11]
Structure and calculated powder diffraction line list of Nb4TcGe3 (a PBE-relaxed structure; Cu Ka).
No peak broadening, texture or thermal motion is included.

Main lines, by angle (2θ from 10° to 90°):
| d_spacing | 2theta | Rel. int. |
| --- | --- | --- |
| 2.462 | 36.50 | 55 |
| 2.288 | 39.39 | 51 |
| 2.262 | 39.85 | 67 |
| 2.213 | 40.77 | 100 |
| 2.084 | 43.41 | 46 |
| 1.403 | 66.67 | 23 |

Atomic structure:
```
data_Nb4TcGe3
_symmetry_space_group_name_H-M 'I 4/m c m'
_symmetry_Int_Tables_number 140
_symmetry_space_group_name_Hall '-I 4 2c'
_cell_length_a 10.116
_cell_length_b 10.116
_cell_length_c 5.130
_cell_angle_alpha 90.00
_cell_angle_beta 90.00
_cell_angle_gamma 90.00
loop_
_atom_site_label
_atom_site_fract_x
_atom_site_fract_y
_atom_site_fract_z
Nb1 0.078 0.225 0.000
Tc1 0.000 0.500 0.250
Ge1 0.000 0.000 0.250
Ge2 0.162 0.338 0.500
```

[12]
Structure and calculated powder diffraction line list of Zr2NbFe (a PBE-relaxed structure; Cu Ka).
No peak broadening, texture or thermal motion is included.

Main lines, by angle (2θ from 10° to 90°):
| d_spacing | 2theta | Rel. int. |
| --- | --- | --- |
| 2.930 | 30.51 | 8 |
| 2.386 | 37.70 | 100 |
| 2.273 | 39.66 | 47 |
| 1.607 | 57.34 | 15 |
| 1.402 | 66.73 | 14 |
| 1.333 | 70.68 | 29 |

Atomic structure:
```
data_Zr2NbFe
_symmetry_space_group_name_H-M 'P 4/m m m'
_symmetry_Int_Tables_number 123
_symmetry_space_group_name_Hall '-P 4 2'
_cell_length_a 3.214
_cell_length_b 3.214
_cell_length_c 7.123
_cell_angle_alpha 90.00
_cell_angle_beta 90.00
_cell_angle_gamma 90.00
loop_
_atom_site_label
_atom_site_fract_x
_atom_site_fract_y
_atom_site_fract_z
Zr1 0.000 0.000 0.221
Nb1 0.500 0.500 0.500
Fe1 0.500 0.500 0.000
```